Record 1
This entry pairs a crystal structure of BaTiFe2Si2O10 with its computed PXRD pattern. Radiation: CuKα. Structure: a DFT-relaxed cell (GGA+U, the Materials Project).
Intensities are scaled so that the largest is 100.

Top 10 peaks for 10° ≤ 2θ ≤ 80°, by angle:
d_spacing  I_rel
5.679  42
3.786  39
3.749  48
3.325  49
3.211  44
2.965  46
2.795  100
2.640  45
2.629  49
2.263  47

Crystal structure
```
BaTiFe2Si2O10
1.0
5.3642 0.0000 0.0000
0.0000 6.9539 0.0000
-0.8946 0.0000 11.3588
Ba Ti Fe Si O
2 2 4 4 20
Direct
0.2246 0.2500 0.4351 Ba
0.7754 0.7500 0.5649 Ba
0.2204 0.7500 0.3399 Ti
0.7796 0.2500 0.6601 Ti
0.0000 0.0000 0.0000 Fe
0.0000 0.5000 0.0000 Fe
0.4698 0.2500 0.9817 Fe
0.5302 0.7500 0.0183 Fe
0.2941 0.5197 0.7500 Si
0.2941 0.9803 0.7500 Si
0.7059 0.0197 0.2500 Si
0.7059 0.4803 0.2500 Si
0.0459 0.0580 0.6750 O
0.0459 0.4420 0.6750 O
0.1950 0.2500 0.0778 O
0.1971 0.7500 0.0657 O
0.2664 0.7500 0.4913 O
0.2739 0.7500 0.7410 O
0.3002 0.0289 0.8936 O
0.3002 0.4711 0.8936 O
0.4547 0.5481 0.3066 O
0.4547 0.9519 0.3066 O
0.5453 0.0481 0.6934 O
0.5453 0.4519 0.6934 O
0.6998 0.5289 0.1064 O
0.6998 0.9711 0.1064 O
0.7261 0.2500 0.2590 O
0.7336 0.2500 0.5087 O
0.8029 0.2500 0.9343 O
0.8050 0.7500 0.9222 O
0.9541 0.5580 0.3250 O
0.9541 0.9420 0.3250 O
```

---

Record 2
This entry pairs a crystal structure of BaSmFe4O12 with its computed PXRD pattern. Radiation: CuKα. Structure: a DFT-relaxed cell (GGA+U, the Materials Project).
Intensities are scaled so that the largest is 100.

Top 10 peaks for 10° ≤ 2θ ≤ 80°, by angle:
d_spacing  I_rel
4.466  91
2.735  100
2.336  33
2.326  16
1.938  28
1.927  14
1.773  15
1.581  26
1.576  13
1.366  16

Crystal structure
```
BaSmFe4O12
1.0
5.4802 0.0000 0.0000
0.0000 5.4802 0.0000
0.0000 0.0000 7.7077
Ba Sm Fe O
1 1 4 12
Direct
0.0000 0.0000 0.0000 Ba
0.5000 0.5000 0.5000 Sm
0.0000 0.5000 0.2505 Fe
0.0000 0.5000 0.7495 Fe
0.5000 0.0000 0.2505 Fe
0.5000 0.0000 0.7495 Fe
0.0000 0.5000 0.0000 O
0.0000 0.5000 0.5000 O
0.2617 0.2617 0.2644 O
0.2617 0.2617 0.7356 O
0.2617 0.7383 0.2644 O
0.2617 0.7383 0.7356 O
0.5000 0.0000 0.0000 O
0.5000 0.0000 0.5000 O
0.7383 0.2617 0.2644 O
0.7383 0.2617 0.7356 O
0.7383 0.7383 0.2644 O
0.7383 0.7383 0.7356 O
```